Structure and simulated X-ray powder pattern of Zn2Cr9O13 (a DFT-relaxed cell (GGA+U, Alexandria); Cu Kα).

Largest 8 diffraction maxima, sorted by position, 5 to 70 degrees two-theta:
2θ 34.00, I 91, hkl 0 1 5; 2θ 34.37, I 100, hkl 0 1 -6; 2θ 34.86, I 48, hkl -1 1 2; 2θ 35.04, I 74, hkl 1 1 0; 2θ 35.56, I 78, hkl 1 1 -2; 2θ 36.07, I 46, hkl 1 1 1; 2θ 37.05, I 61, hkl 1 0 4; 2θ 38.89, I 54, hkl 0 1 6

Atomic structure:
```
24
Lattice="3.090 0.000 0.000 -0.365 5.204 0.000 -0.582 -2.404 16.703" Properties=species:S:1:pos:R:3 pbc="T T T"
Zn -0.149 -0.536 4.577
Zn 2.292 3.335 12.126
Cr -0.183 2.602 0.000
Cr -0.273 2.778 9.043
Cr 0.335 -2.119 15.303
Cr 1.175 2.125 2.829
Cr 1.045 0.503 10.376
Cr 1.098 2.297 6.327
Cr 0.968 0.675 13.874
Cr 1.808 4.919 1.400
Cr 2.416 0.022 7.660
O -0.614 -0.411 14.768
O -0.500 1.787 10.811
O -0.407 3.407 7.057
O -0.578 2.026 13.649
O 1.363 1.320 0.368
O 1.044 3.349 4.604
O 1.071 1.400 8.352
O 1.099 -0.549 12.099
O 0.780 1.480 16.335
O 2.721 0.774 3.054
O 2.550 -0.607 9.646
O 2.643 1.013 5.892
O 2.757 3.211 1.935
```